# PaGa3Mo
Simulated powder diffraction line list, Cu Ka. Input: a crystal structure in Alexandria, relaxed with PBE.
Intensities are scaled so that the largest is 1000.

Most intense lines, 2θ from 10° to 90°, low angle first:
- 4.012 Å, rel. 462
- 3.298 Å, rel. 456
- 2.745 Å, rel. 726
- 2.638 Å, rel. 980
- 2.527 Å, rel. 698
- 2.194 Å, rel. 1000

Structure:
```
PaGa3Mo
1.0
3.2982 -4.9510 0.0000
3.2982 4.9510 0.0000
0.0000 0.0000 5.8776
Pa Ga Mo
2 6 2
Cartesian
3.2982 2.7100 4.4082
3.2982 -2.7100 1.4694
1.9958 0.0000 0.0000
1.9958 0.0000 2.9388
3.2982 1.8124 1.4694
3.2982 -1.8124 4.4082
4.6005 0.0000 0.0000
4.6005 0.0000 2.9388
3.2982 4.2524 1.4694
3.2982 -4.2524 4.4082
```